Theoretical XRD peak list
Compound: AcNpCr2O6
Radiation: copper Kα
Structure: a cell relaxed with GGA+U

Structure:
Unit cell a=5.6061 b=5.6061 c=5.5908 alpha=119.89 beta=119.89 gamma=89.81
Fractional positions:
Ac (0.0000, 0.0000, 0.0000)
Np (0.4797, 0.4797, 0.9910)
Cr (0.2455, 0.7453, 0.4953)
Cr (0.7453, 0.2455, 0.4953)
O (0.0493, 0.4638, 0.9954)
O (0.0652, 0.4570, 0.5242)
O (0.4570, 0.0652, 0.5242)
O (0.4638, 0.0493, 0.9954)
O (0.5651, 0.5651, 0.5333)
O (0.8971, 0.8971, 0.4041)

Main lines, sorted by position (2θ from 15° to 90°):
2θ (°), I (rel.)
22.41, 49.3
31.71, 18.7
31.94, 100.0
39.21, 13.9
39.47, 14.9
45.68, 21.0
45.86, 9.9
51.62, 12.3
56.62, 17.3
57.01, 24.8
66.73, 11.7
76.01, 10.1